Structure and calculated powder X-ray diffraction pattern of K2CaCrF6 (a cell relaxed with PBE+U; a wavelength of 1.5418 Å).
Peak positions follow from Bragg's law for the DFT cell and can differ from measured ones.

Top 10 peaks for 15° ≤ 2θ ≤ 90°, in order of rising 2θ:
d (Å)  intensity
3.119  100
3.020  46
2.519  30
2.283  45
2.135  70
1.821  19
1.762  33
1.560  44
1.510  19
1.259  18

Structure:
Unit cell a=6.252 b=6.252 c=6.252 alpha=122.26 beta=122.21 gamma=86.17
Atoms (fractional coordinates):
K  0.249  0.249  0.000
K  0.751  0.751  0.000
Ca  0.500  0.000  0.500
Cr  0.000  0.500  0.500
F  0.238  0.262  0.499
F  0.238  0.738  0.976
F  0.256  0.756  0.500
F  0.744  0.244  0.500
F  0.762  0.262  0.024
F  0.762  0.738  0.501